Diffraction record for Sr2CrFeAsO3. The XRD peak list is calculated, not measured: it uses a crystal structure in Alexandria, relaxed with GGA+U and λ = 1.5418 Å (Cu Kα).
Lines closer than 0.1° are merged.

Structure:
```
data_Sr2CrFeAsO3
_chemical_formula_sum 'Sr4 Cr2 Fe2 As2 O6'
_symmetry_space_group_name_H-M 'P 4/n m m'
_symmetry_Int_Tables_number 129
_cell_length_a 4.0022
_cell_length_b 4.0022
_cell_length_c 16.3547
_cell_angle_alpha 90.00
_cell_angle_beta 90.00
_cell_angle_gamma 90.00
loop_
_symmetry_equiv_pos_as_xyz
'x,y,z'
'-x,-y,-z'
'-y+1/2,x,z'
'y+1/2,-x,-z'
'-x+1/2,-y+1/2,z'
'x+1/2,y+1/2,-z'
'y,-x+1/2,z'
'-y,x+1/2,-z'
'x+1/2,-y,-z'
'-x+1/2,y,z'
'-y,-x,-z'
'y,x,z'
'-x,y+1/2,-z'
'x,-y+1/2,z'
'y+1/2,x+1/2,-z'
'-y+1/2,-x+1/2,z'
loop_
_atom_site_label
_atom_site_type_symbol
_atom_site_fract_x
_atom_site_fract_y
_atom_site_fract_z
_atom_site_occupancy
Sr1 Sr 0.2500 0.2500 0.0830 1
Sr2 Sr 0.2500 0.2500 0.2967 1
Cr1 Cr 0.2500 0.2500 0.8169 1
Fe1 Fe 0.2500 0.7500 0.5000 1
As1 As 0.2500 0.2500 0.6011 1
O1 O 0.2500 0.2500 0.9335 1
O2 O 0.2500 0.7500 0.1996 1
```

Principal peaks in the range 2θ from 10° to 90°, low angle first:
2.860 Å, 31.3°, I = 100, (1 0 4); 2.830 Å, 31.6°, I = 46, (1 1 0); 2.512 Å, 35.7°, I = 22, (1 1 3); 2.327 Å, 38.7°, I = 22, (1 1 4); 2.253 Å, 40.0°, I = 27, (1 0 6); 2.001 Å, 45.3°, I = 52, (2 0 0); 1.963 Å, 46.2°, I = 17, (1 1 6); 1.657 Å, 55.5°, I = 12, (1 1 8); 1.640 Å, 56.1°, I = 37, (2 1 4); 1.496 Å, 62.0°, I = 14, (2 1 6); 1.415 Å, 66.0°, I = 20, (2 2 0); 1.266 Å, 75.0°, I = 20, (2 0 10)